[1]
Calculated X-ray diffraction stick pattern of Fe for Cu Kα (λ = 1.5418 Å), from a cell relaxed with GGA-PBE.
No peak broadening, texture or thermal motion is included.

The 5 most intense peaks (2θ = 5–70°), sorted by position:
hkl 0 0 1, 2θ = 37.5°, d = 2.401 Å, rel. 7; hkl 1 1 0, 2θ = 45.7°, d = 1.986 Å, rel. 100; hkl 1 0 1, 2θ = 46.1°, d = 1.969 Å, rel. 86; hkl 1 1 1, 2θ = 60.5°, d = 1.530 Å, rel. 9; hkl 2 0 1, 2θ = 66.9°, d = 1.398 Å, rel. 25

Structural model:
Unit cell a=3.9722 b=3.9722 c=2.4006 alpha=90.00 beta=90.00 gamma=120.00
Space group P6/mmm (No. 191)
Symmetry-distinct sites (fractional):
Fe (0.0000, 0.0000, 0.0000) x1
Fe (0.3333, 0.6667, 0.5000) x2

[2]
Calculated X-ray diffraction stick pattern of Fe for Cu Kα (λ = 1.5418 Å), from a cell relaxed with GGA-PBE.
No peak broadening, texture or thermal motion is included.

The 10 most intense peaks (2θ = 5–70°), sorted by position:
hkl 0 0 2, 2θ = 39.4°, d = 2.286 Å, rel. 21; hkl 3 2 1, 2θ = 42.7°, d = 2.116 Å, rel. 41; hkl 4 1 0, 2θ = 43.3°, d = 2.088 Å, rel. 69; hkl 3 3 0, 2θ = 44.7°, d = 2.029 Å, rel. 13; hkl 2 0 2, 2θ = 44.9°, d = 2.019 Å, rel. 53; hkl 2 1 2, 2θ = 46.2°, d = 1.966 Å, rel. 48; hkl 4 2 0, 2θ = 47.2°, d = 1.925 Å, rel. 22; hkl 4 1 1, 2θ = 47.9°, d = 1.899 Å, rel. 100; hkl 3 3 1, 2θ = 49.1°, d = 1.855 Å, rel. 32; hkl 2 2 2, 2θ = 49.9°, d = 1.828 Å, rel. 51

Structural model:
Unit cell a=8.608 b=8.608 c=4.572 alpha=90.00 beta=90.00 gamma=90.00
Space group P4_2/mnm (No. 136)
Symmetry-distinct sites (fractional):
Fe (0.022, 0.367, 0.000) x8
Fe (0.037, 0.233, 0.500) x8
Fe (0.096, 0.096, 0.000) x4
Fe (0.210, 0.790, 0.246) x8

[3]
Calculated X-ray diffraction stick pattern of GaFe7 for Cu Kα (λ = 1.5418 Å), from a cell relaxed with GGA-PBE.
No peak broadening, texture or thermal motion is included.

The 3 most intense peaks (2θ = 5–70°), sorted by position:
hkl 2 0 0, 2θ = 44.6°, d = 2.033 Å, rel. 100; hkl 2 2 0, 2θ = 64.8°, d = 1.439 Å, rel. 10; hkl 0 0 8, 2θ = 65.0°, d = 1.435 Å, rel. 5

Structural model:
Unit cell a=4.069 b=4.069 c=11.477 alpha=90.00 beta=90.00 gamma=90.00
Space group I4/mmm (No. 139)
Symmetry-distinct sites (fractional):
Ga (0.000, 0.000, 0.000) x2
Fe (0.000, 0.000, 0.249) x4
Fe (0.000, 0.000, 0.500) x2
Fe (0.000, 0.500, 0.129) x8

[4]
Calculated X-ray diffraction stick pattern of Ga4Fe3 for Cu Kα (λ = 1.5418 Å), from a cell relaxed with GGA-PBE.
No peak broadening, texture or thermal motion is included.

The 10 most intense peaks (2θ = 5–70°), sorted by position:
hkl 2 0 2, 2θ = 34.1°, d = 2.633 Å, rel. 12; hkl 2 2 -2, 2θ = 34.9°, d = 2.569 Å, rel. 8; hkl 1 1 -3, 2θ = 36.4°, d = 2.465 Å, rel. 18; hkl 1 3 -2, 2θ = 42.4°, d = 2.132 Å, rel. 43; hkl 0 2 3, 2θ = 43.2°, d = 2.094 Å, rel. 51; hkl 3 1 2, 2θ = 43.4°, d = 2.084 Å, rel. 28; hkl 4 0 -3, 2θ = 44.3°, d = 2.044 Å, rel. 100; hkl 3 3 -1, 2θ = 44.8°, d = 2.021 Å, rel. 27; hkl 1 3 2, 2θ = 45.4°, d = 1.998 Å, rel. 9; hkl 0 4 0, 2θ = 47.5°, d = 1.913 Å, rel. 12

Structural model:
Unit cell a=10.062 b=7.652 c=7.811 alpha=90.00 beta=106.09 gamma=90.00
Space group C2/m (No. 12)
Symmetry-distinct sites (fractional):
Ga (0.042, 0.000, 0.347) x4
Ga (0.108, 0.298, 0.151) x8
Ga (0.148, 0.315, 0.549) x8
Ga (0.231, 0.500, 0.917) x4
Fe (0.000, 0.000, 0.000) x2
Fe (0.007, 0.500, 0.690) x4
Fe (0.135, 0.202, 0.848) x8
Fe (0.223, 0.000, 0.640) x4

[5]
Calculated X-ray diffraction stick pattern of Ga3Fe8 for Cu Kα (λ = 1.5418 Å), from a cell relaxed with GGA-PBE.
No peak broadening, texture or thermal motion is included.

The 10 most intense peaks (2θ = 5–70°), sorted by position:
hkl 0 0 3, 2θ = 25.9°, d = 3.446 Å, rel. 17; hkl 0 2 1, 2θ = 29.3°, d = 3.051 Å, rel. 19; hkl 1 0 4, 2θ = 37.5°, d = 2.396 Å, rel. 42; hkl 2 1 1, 2θ = 38.3°, d = 2.351 Å, rel. 100; hkl 0 2 4, 2θ = 45.1°, d = 2.009 Å, rel. 32; hkl 2 2 0, 2θ = 49.4°, d = 1.844 Å, rel. 35; hkl 3 0 3, 2θ = 50.4°, d = 1.811 Å, rel. 27; hkl 2 1 4, 2θ = 51.8°, d = 1.764 Å, rel. 15; hkl 2 0 5, 2θ = 52.7°, d = 1.736 Å, rel. 21; hkl 2 2 3, 2θ = 56.6°, d = 1.626 Å, rel. 15

Structural model:
Unit cell a=7.3745 b=7.3745 c=10.3377 alpha=90.00 beta=90.00 gamma=120.00
Space group R-3m (No. 166, hexagonal axes)
Symmetry-distinct sites (fractional):
Ga (0.0000, 0.5000, 0.0000) x9
Fe (0.0000, 0.0000, 0.3968) x6
Fe (0.0863, 0.5432, 0.7577) x18

[6]
Calculated X-ray diffraction stick pattern of GaFe2 for Cu Kα (λ = 1.5418 Å), from a cell relaxed with GGA-PBE.
No peak broadening, texture or thermal motion is included.

The 8 most intense peaks (2θ = 5–70°), sorted by position:
hkl 1 1 0, 2θ = 24.0°, d = 3.710 Å, rel. 1; hkl 0 2 1, 2θ = 29.6°, d = 3.019 Å, rel. 1; hkl 1 1 1, 2θ = 32.3°, d = 2.771 Å, rel. 1; hkl 0 4 0, 2θ = 41.2°, d = 2.189 Å, rel. 1; hkl 0 0 2, 2θ = 43.4°, d = 2.084 Å, rel. 26; hkl 1 3 1, 2θ = 43.8°, d = 2.065 Å, rel. 100; hkl 2 0 0, 2θ = 44.2°, d = 2.048 Å, rel. 25; hkl 2 0 2, 2θ = 63.7°, d = 1.460 Å, rel. 23

Structural model:
Unit cell a=4.096 b=8.758 c=4.169 alpha=90.00 beta=90.00 gamma=90.00
Space group Cmcm (No. 63)
Symmetry-distinct sites (fractional):
Ga (0.000, 0.091, 0.250) x4
Fe (0.000, 0.252, 0.750) x4
Fe (0.000, 0.409, 0.250) x4